No. 1
LiPm7Ir4: theoretical X-ray powder pattern (Cu Ka), based on the PBE geometry in Alexandria.
Peak positions follow from Bragg's law for the DFT cell and can differ from measured ones.

Top 10 peaks for 2θ = 10–80°, by angle:
2θ/deg  d/Å  intensity
18.65  4.757  33.7
34.21  2.621  69.1
35.81  2.508  100.0
36.00  2.495  33.6
37.19  2.418  92.7
50.50  1.807  25.2
54.59  1.681  19.9
62.29  1.491  20.2
63.21  1.471  19.9
66.03  1.415  22.3

Atomic structure:
```
12
Lattice="7.0602 -2.6213 0.0000 7.0602 2.6213 0.0000 -6.2018 0.0000 8.3247" Properties=species:S:1:pos:R:3 pbc="T T T"
Li 0.0000 0.0000 0.0000
Pm -0.9617 0.0000 2.9517
Pm -2.4672 0.0000 7.2549
Pm 2.3795 0.0000 3.2078
Pm 7.0602 0.0000 0.0000
Pm 5.5391 0.0000 5.1169
Pm 10.3858 0.0000 1.0698
Pm 8.8803 0.0000 5.3730
Ir 0.0086 0.0000 5.5836
Ir 4.7883 0.0000 1.7998
Ir 3.1302 0.0000 6.5249
Ir 7.9100 0.0000 2.7411
```

***

No. 2
LiPm4Ir3: theoretical X-ray powder pattern (Cu Ka), based on the PBE geometry in Alexandria.
Peak positions follow from Bragg's law for the DFT cell and can differ from measured ones.

Top 10 peaks for 2θ = 10–80°, by angle:
2θ/deg  d/Å  intensity
11.18  7.914  33.3
25.16  3.539  23.1
31.05  2.880  32.8
32.77  2.733  52.5
35.04  2.561  36.1
35.88  2.503  43.4
36.59  2.456  100.0
46.45  1.955  26.1
58.93  1.567  27.6
67.53  1.387  28.4

Atomic structure:
```
16
Lattice="-5.5963 5.5963 2.8799 5.5963 -5.5963 2.8799 5.5963 5.5963 -2.8799" Properties=species:S:1:pos:R:3 pbc="T T T"
Li 5.5963 0.0000 1.4399
Li 0.0000 5.5963 1.4399
Pm 8.7292 0.9233 0.0000
Pm 0.9233 2.4634 0.0000
Pm 6.5196 3.1329 0.0000
Pm 3.1329 4.6730 0.0000
Pm 2.4634 0.9233 2.8799
Pm -0.9233 2.4634 2.8799
Pm 4.6730 3.1329 2.8799
Pm -3.1329 4.6730 2.8799
Ir 3.8153 1.7810 0.0000
Ir 0.0000 0.0000 1.4399
Ir 3.8153 -1.7810 2.8799
Ir 1.7810 7.3773 0.0000
Ir 0.0000 0.0000 4.3198
Ir 1.7810 3.8153 2.8799
```

***

No. 3
Li6IrPt2: theoretical X-ray powder pattern (Cu Ka), based on the PBE geometry in Alexandria.
Peak positions follow from Bragg's law for the DFT cell and can differ from measured ones.

Top 10 peaks for 2θ = 10–80°, by angle:
2θ/deg  d/Å  intensity
24.09  3.694  100.0
34.62  2.591  12.6
42.38  2.133  27.0
42.63  2.121  50.4
49.34  1.847  14.9
55.83  1.647  19.6
61.67  1.504  17.2
67.03  1.396  12.1
77.69  1.229  17.7
78.20  1.222  7.9

Atomic structure:
```
9
Lattice="7.3882 0.0000 0.0000 -3.6941 6.3984 0.0000 0.0000 0.0000 2.5907" Properties=species:S:1:pos:R:3 pbc="T T T"
Li -1.2262 2.1239 0.0000
Li -2.4679 4.2745 0.0000
Li 2.4525 0.0000 0.0000
Li 1.2262 2.1239 0.0000
Li 4.9357 0.0000 0.0000
Li 2.4679 4.2745 0.0000
Ir 0.0000 0.0000 1.2953
Pt 0.0000 4.2656 1.2953
Pt 3.6941 2.1328 1.2953
```

***

No. 4
LiIrPt: theoretical X-ray powder pattern (Cu Ka), based on the PBE geometry in Alexandria.
Peak positions follow from Bragg's law for the DFT cell and can differ from measured ones.

Top 10 peaks for 2θ = 10–80°, by angle:
2θ/deg  d/Å  intensity
22.52  3.948  53.4
25.11  3.546  77.6
35.09  2.557  33.1
40.37  2.234  100.0
41.16  2.193  94.8
45.72  1.985  35.3
46.72  1.944  31.8
48.26  1.886  60.4
58.91  1.568  15.2
68.66  1.367  42.6

Atomic structure:
```
3
Lattice="-1.3516 1.9845 3.9476 1.3516 -1.9845 3.9476 1.3516 1.9845 -3.9476" Properties=species:S:1:pos:R:3 pbc="T T T"
Li 0.0000 0.0000 0.0000
Ir 0.0000 0.0000 2.6231
Pt 0.0000 0.0000 5.2682
```

***

No. 5
LiIrPt: theoretical X-ray powder pattern (Cu Ka), based on the PBE geometry in Alexandria.
Peak positions follow from Bragg's law for the DFT cell and can differ from measured ones.

Top 10 peaks for 2θ = 10–80°, by angle:
2θ/deg  d/Å  intensity
13.25  6.681  15.2
19.93  4.454  34.6
26.68  3.341  7.0
38.10  2.362  37.9
38.71  2.326  10.3
40.50  2.227  34.6
43.36  2.087  100.0
56.82  1.620  23.2
68.84  1.364  19.4
75.65  1.257  18.6

Atomic structure:
```
6
Lattice="13.3627 0.0000 0.0000 0.0000 1.3638 2.3621 0.0000 -1.3638 2.3621" Properties=species:S:1:pos:R:3 pbc="T T T"
Li 2.1757 0.0000 0.0000
Li 11.1870 0.0000 0.0000
Ir 0.0000 0.0000 3.1529
Ir 6.6813 0.0000 4.7194
Pt 4.3681 0.0000 3.1452
Pt 8.9946 0.0000 3.1452
```

***

No. 6
Li2IrPt: theoretical X-ray powder pattern (Cu Ka), based on the PBE geometry in Alexandria.
Peak positions follow from Bragg's law for the DFT cell and can differ from measured ones.

Top 10 peaks for 2θ = 10–80°, by angle:
2θ/deg  d/Å  intensity
20.63  4.306  100.0
38.92  2.314  60.5
40.83  2.210  59.1
41.97  2.153  18.2
47.84  1.901  37.7
52.62  1.739  25.7
64.14  1.452  14.2
69.17  1.358  12.7
70.77  1.331  11.9
73.05  1.295  19.6

Atomic structure:
```
4
Lattice="1.3581 0.7841 8.6115 -1.3581 0.7841 8.6115 0.0000 -1.5682 8.6115" Properties=species:S:1:pos:R:3 pbc="T T T"
Li 0.0000 0.0000 6.4403
Li 0.0000 0.0000 19.3943
Ir 0.0000 0.0000 0.0000
Pt 0.0000 0.0000 12.9173
```

***

No. 7
LiPu3Ir2: theoretical X-ray powder pattern (Cu Ka), based on the PBE geometry in Alexandria.
Peak positions follow from Bragg's law for the DFT cell and can differ from measured ones.

Top 10 peaks for 2θ = 10–80°, by angle:
2θ/deg  d/Å  intensity
19.79  4.487  16.3
26.45  3.370  11.5
34.95  2.568  14.6
36.26  2.477  100.0
37.39  2.405  15.9
38.12  2.361  24.5
48.16  1.889  11.2
49.91  1.827  11.6
54.46  1.685  11.0
67.69  1.384  16.8

Atomic structure:
```
6
Lattice="2.3605 -7.2162 0.0000 2.3605 7.2162 0.0000 0.0000 0.0000 3.6544" Properties=species:S:1:pos:R:3 pbc="T T T"
Li 0.0000 0.0000 0.0000
Pu 2.3605 4.5595 1.8272
Pu 2.3605 0.0000 1.8272
Pu 2.3605 -4.5595 1.8272
Ir 2.3605 2.0680 0.0000
Ir 2.3605 -2.0680 0.0000
```

***

No. 8
Li2Ir2Rh7: theoretical X-ray powder pattern (Cu Ka), based on the PBE geometry in Alexandria.
Peak positions follow from Bragg's law for the DFT cell and can differ from measured ones.

Top 10 peaks for 2θ = 10–80°, by angle:
2θ/deg  d/Å  intensity
21.30  4.172  26.3
23.10  3.850  14.6
33.37  2.685  15.9
37.92  2.373  14.2
38.47  2.340  24.1
41.71  2.166  31.0
43.38  2.086  21.2
43.90  2.062  100.0
61.75  1.502  14.7
77.67  1.229  18.4

Atomic structure:
```
11
Lattice="-2.1655 4.1718 4.2542 2.1655 -4.1718 4.2542 2.1655 4.1718 -4.2542" Properties=species:S:1:pos:R:3 pbc="T T T"
Li 0.0000 0.0000 1.3778
Li 0.0000 0.0000 7.1306
Ir 0.0000 1.9861 0.0000
Ir 0.0000 6.3574 0.0000
Rh 2.1655 0.0000 0.0000
Rh 2.1655 2.3487 -1.3847
Rh 2.1655 0.0000 2.8228
Rh 2.1655 2.3487 1.3847
Rh 0.0000 1.8231 2.8695
Rh 0.0000 4.1718 1.4315
Rh 0.0000 1.8231 5.6389
```

***

No. 9
LiIr2Rh8: theoretical X-ray powder pattern (Cu Ka), based on the PBE geometry in Alexandria.
Peak positions follow from Bragg's law for the DFT cell and can differ from measured ones.

Top 10 peaks for 2θ = 10–80°, by angle:
2θ/deg  d/Å  intensity
13.82  6.410  18.8
34.83  2.576  23.4
38.81  2.320  10.4
40.91  2.206  41.2
41.72  2.165  35.5
42.30  2.137  15.3
43.84  2.065  100.0
55.44  1.657  12.3
67.24  1.392  14.2
77.64  1.230  18.3

Atomic structure:
```
11
Lattice="-2.1649 2.8133 6.4099 2.1649 -2.8133 6.4099 2.1649 2.8133 -6.4099" Properties=species:S:1:pos:R:3 pbc="T T T"
Li 0.0000 0.0000 0.0000
Ir 0.0000 0.0000 3.9930
Ir 0.0000 0.0000 8.8268
Rh 2.1649 -1.3176 4.6820
Rh 2.1649 0.0000 2.2605
Rh 2.1649 1.5060 0.0000
Rh 0.0000 1.4956 1.7279
Rh 2.1649 1.3176 4.6820
Rh 0.0000 1.3073 6.4099
Rh 0.0000 2.8133 4.1494
Rh 0.0000 4.1309 1.7279
```

***

No. 10
Li4IrRh: theoretical X-ray powder pattern (Cu Ka), based on the PBE geometry in Alexandria.
Peak positions follow from Bragg's law for the DFT cell and can differ from measured ones.

Top 10 peaks for 2θ = 10–80°, by angle:
2θ/deg  d/Å  intensity
23.67  3.758  100.0
36.40  2.468  10.2
41.62  2.170  27.9
43.88  2.063  45.0
48.44  1.879  14.7
56.47  1.630  17.3
62.08  1.495  16.1
65.74  1.420  11.8
75.96  1.253  4.7
77.54  1.231  16.9

Atomic structure:
```
12
Lattice="2.4683 -7.5131 0.0000 2.4683 7.5131 0.0000 0.0000 0.0000 4.3415" Properties=species:S:1:pos:R:3 pbc="T T T"
Li 1.2309 3.1296 1.0854
Li 1.2207 0.6260 1.0854
Li 1.2207 -0.6260 3.2562
Li 1.2309 -3.1296 3.2562
Li 3.7057 3.1296 1.0854
Li 3.7159 0.6260 1.0854
Li 3.7159 -0.6260 3.2562
Li 3.7057 -3.1296 3.2562
Ir 2.4683 5.6318 1.0854
Ir 2.4683 -5.6318 3.2562
Rh 2.4683 1.8769 3.2562
Rh 2.4683 -1.8769 1.0854
```

***

No. 11
Li2Ir2Rh3: theoretical X-ray powder pattern (Cu Ka), based on the PBE geometry in Alexandria.
Peak positions follow from Bragg's law for the DFT cell and can differ from measured ones.

Top 10 peaks for 2θ = 10–80°, by angle:
2θ/deg  d/Å  intensity
14.80  5.986  100.0
30.89  2.895  45.9
40.45  2.230  94.9
41.60  2.171  91.4
44.04  2.056  18.2
45.88  1.978  38.0
46.05  1.971  26.9
47.23  1.924  32.0
50.04  1.823  23.5
67.96  1.379  20.4

Atomic structure:
```
7
Lattice="4.2204 -1.9243 0.0000 4.2204 1.9243 0.0000 -1.3805 0.0000 5.9861" Properties=species:S:1:pos:R:3 pbc="T T T"
Li 0.7414 0.0000 2.5690
Li 6.3189 0.0000 3.4171
Ir 1.1067 0.0000 5.1633
Ir 5.9536 0.0000 0.8227
Rh 0.0000 0.0000 0.0000
Rh 3.3915 0.0000 1.7326
Rh 3.6688 0.0000 4.2534
```

***

No. 12
Li3Ir2Rh: theoretical X-ray powder pattern (Cu Ka), based on the PBE geometry in Alexandria.
Peak positions follow from Bragg's law for the DFT cell and can differ from measured ones.

Top 10 peaks for 2θ = 10–80°, by angle:
2θ/deg  d/Å  intensity
19.39  4.578  100.0
27.99  3.188  10.1
39.19  2.299  38.0
39.36  2.289  12.9
40.63  2.221  19.5
44.08  2.054  55.2
44.53  2.035  11.8
45.39  1.998  22.4
56.76  1.622  15.9
76.34  1.247  11.0

Atomic structure:
```
12
Lattice="4.4411 0.0000 0.0000 0.0000 8.0595 0.0000 0.0000 0.0000 4.5779" Properties=species:S:1:pos:R:3 pbc="T T T"
Li 1.1103 0.6665 0.2848
Li 1.1103 3.3633 0.2848
Li 1.1103 6.0447 0.2530
Li 3.3308 2.0149 4.3249
Li 3.3308 4.6963 4.2931
Li 3.3308 7.3930 4.2931
Ir 1.1103 4.6999 2.5232
Ir 1.1103 7.3894 2.5232
Ir 3.3308 0.6702 2.0547
Ir 3.3308 3.3596 2.0547
Rh 1.1103 2.0149 2.5750
Rh 3.3308 6.0447 2.0029
```

***

No. 13
Li2IrRh: theoretical X-ray powder pattern (Cu Ka), based on the PBE geometry in Alexandria.
Peak positions follow from Bragg's law for the DFT cell and can differ from measured ones.

Top 10 peaks for 2θ = 10–80°, by angle:
2θ/deg  d/Å  intensity
20.13  4.410  100.0
38.47  2.340  19.3
38.76  2.323  18.9
39.83  2.263  23.2
40.93  2.205  18.7
43.79  2.067  30.8
44.05  2.056  30.3
45.01  2.014  24.8
57.42  1.605  13.1
58.42  1.580  13.1

Atomic structure:
```
4
Lattice="2.6315 0.0000 0.0000 0.0000 4.4103 0.0000 -0.1422 0.0000 4.6802" Properties=species:S:1:pos:R:3 pbc="T T T"
Li 0.5993 0.0000 1.1676
Li 1.8900 0.0000 3.5126
Ir 1.3157 2.2052 0.0000
Rh -0.0711 2.2052 2.3401
```

***

No. 14
LiIrRu: theoretical X-ray powder pattern (Cu Ka), based on the PBE geometry in Alexandria.
Peak positions follow from Bragg's law for the DFT cell and can differ from measured ones.

Top 10 peaks for 2θ = 10–80°, by angle:
2θ/deg  d/Å  intensity
19.13  4.638  72.5
23.16  3.840  100.0
29.84  2.994  45.4
36.01  2.494  38.9
40.12  2.248  27.5
42.88  2.109  67.4
45.44  1.996  58.6
47.35  1.920  30.4
53.92  1.700  44.0
73.75  1.285  28.1

Atomic structure:
```
6
Lattice="2.5021 -4.6383 0.0000 2.5021 4.6383 0.0000 -2.5014 0.0000 3.9204" Properties=species:S:1:pos:R:3 pbc="T T T"
Li 0.0068 0.0000 1.2493
Li 2.4960 0.0000 2.6711
Ir 1.2514 2.3331 1.9602
Ir 2.5021 -1.1696 0.0000
Ru 2.5021 1.1973 0.0000
Ru 1.2514 -2.3118 1.9602
```